Record 1
Computed PXRD pattern
Compound: BaNdGaO4
Radiation: λ = 1.5418 Å (Cu Kα)
Structure: a structure optimized by DFT (PBE)
Peak positions follow from Bragg's law for the DFT cell and can differ from measured ones.

Cell and atoms:
Cell: 5.9164 7.1992 10.0221 Å, 90.00 90.00 90.00°
Space group P2_12_12_1 (No. 19)
Inequivalent atoms, fractional coordinates:
Ba: 0.0055 0.0755 0.4223
Nd: 0.0121 0.2471 0.7985
Ga: 0.0144 0.5331 0.4166
O: 0.0020 0.8968 0.9240
O: 0.1685 0.7464 0.4731
O: 0.2451 0.9885 0.1848
O: 0.2458 0.4496 0.3008

Most intense lines, 10° ≤ 2θ ≤ 80°, sorted by position:
- 2θ = 26.38°, rel. 45, (1 1 2)
- 2θ = 30.21°, rel. 63, (2 0 0)
- 2θ = 30.40°, rel. 100, (1 2 1)
- 2θ = 30.58°, rel. 30, (0 2 2)
- 2θ = 30.74°, rel. 91, (1 0 3)
- 2θ = 43.52°, rel. 45, (2 2 2)


Record 2
Computed PXRD pattern
Compound: Ba2NdGaTe5
Radiation: λ = 1.5418 Å (Cu Kα)
Structure: a structure optimized by DFT (PBE)
Peak positions follow from Bragg's law for the DFT cell and can differ from measured ones.

Cell and atoms:
Cell: 4.5540 20.7861 14.2772 Å, 90.00 90.00 90.00°
Space group Cmc2_1 (No. 36)
Inequivalent atoms, fractional coordinates:
Ba: 0.0000 0.1204 0.0000
Ba: 0.0000 0.1234 0.6390
Nd: 0.0000 0.2057 0.3387
Ga: 0.0000 0.4386 0.7437
Te: 0.0000 0.0450 0.3518
Te: 0.0000 0.2954 0.9892
Te: 0.0000 0.3147 0.6803
Te: 0.0000 0.3538 0.3206
Te: 0.0000 0.5002 0.0833

Most intense lines, 10° ≤ 2θ ≤ 80°, sorted by position:
- 2θ = 26.47°, rel. 51, (0 6 1)
- 2θ = 27.45°, rel. 100, (1 1 3)
- 2θ = 31.72°, rel. 42, (1 5 2)
- 2θ = 39.58°, rel. 25, (2 0 0)
- 2θ = 44.39°, rel. 23, (1 7 4)
- 2θ = 48.25°, rel. 18, (2 6 1)